The following is a theoretical powder X-ray diffraction pattern of SrMn2Si2O10. It was derived from a GGA+U-relaxed structure, using Cu Ka.
Lines closer than 0.1° are merged.

Most intense lines, 10 to 80 degrees two-theta, low angle first:
(hkl)	2θ/deg	d [Å]	Rel. int.
1 1 0	19.0	4.667	277
1 0 -1	19.7	4.496	281
1 1 -1	20.8	4.268	397
1 2 -1	23.7	3.747	382
1 2 1	32.0	2.801	1000
1 0 -2	32.6	2.745	235
1 4 -1	33.1	2.706	665
0 2 2	37.1	2.424	317
2 3 0	41.5	2.178	222
1 6 1	50.1	1.821	227

Cell and atoms:
```
data_SrMn2Si2O10
_cell_length_a 5.335
_cell_length_b 13.553
_cell_length_c 5.570
_cell_angle_alpha 90.00
_cell_angle_beta 111.27
_cell_angle_gamma 90.00
_symmetry_space_group_name_H-M 'P 1'
_symmetry_Int_Tables_number 1
loop_
_symmetry_equiv_pos_as_xyz
'x,y,z'
loop_
_atom_site_label
_atom_site_type_symbol
_atom_site_fract_x
_atom_site_fract_y
_atom_site_fract_z
Sr1 Sr 0.149 0.250 0.309
Sr2 Sr 0.851 0.750 0.691
Mn1 Mn 0.000 0.000 0.000
Mn2 Mn 0.000 0.500 0.000
Mn3 Mn 0.500 0.000 0.500
Mn4 Mn 0.500 0.500 0.500
Si1 Si 0.493 0.633 0.047
Si2 Si 0.493 0.867 0.047
Si3 Si 0.507 0.133 0.953
Si4 Si 0.507 0.367 0.953
O1 O 0.076 0.750 0.328
O2 O 0.137 0.545 0.348
O3 O 0.137 0.955 0.348
O4 O 0.171 0.611 0.906
O5 O 0.171 0.889 0.906
O6 O 0.336 0.074 0.103
O7 O 0.336 0.426 0.103
O8 O 0.395 0.120 0.643
O9 O 0.395 0.380 0.643
O10 O 0.467 0.250 0.029
O11 O 0.533 0.750 0.971
O12 O 0.605 0.620 0.357
O13 O 0.605 0.880 0.357
O14 O 0.664 0.574 0.897
O15 O 0.664 0.926 0.897
O16 O 0.829 0.111 0.094
O17 O 0.829 0.389 0.094
O18 O 0.863 0.045 0.652
O19 O 0.863 0.455 0.652
O20 O 0.924 0.250 0.672
```